NdZrSi2: simulated X-ray diffraction stick pattern (Cu Kα, 1.54184 Å), based on DFT lattice parameters and positions (GGA-PBE).
Peak positions follow from Bragg's law for the DFT cell and can differ from measured ones.

Principal peaks in the range 10° ≤ 2θ ≤ 90°, in order of rising 2θ:
| 2theta | d/Å | I/Imax | h k l |
| --- | --- | --- | --- |
| 28.04 | 3.182 | 35 | 0 2 1 |
| 28.27 | 3.157 | 41 | 1 0 1 |
| 30.57 | 2.924 | 100 | 1 1 1 |
| 32.85 | 2.726 | 77 | 1 2 0 |
| 34.24 | 2.619 | 83 | 0 1 2 |
| 36.71 | 2.448 | 53 | 1 2 1 |
| 38.39 | 2.345 | 46 | 0 3 1 |
| 41.77 | 2.162 | 44 | 1 1 2 |
| 54.00 | 1.698 | 31 | 1 3 2 |
| 59.79 | 1.547 | 32 | 2 1 2 |

Structure:
```
NdZrSi2
1.0
3.833 0.000 0.000
0.000 7.757 0.000
0.000 0.000 5.565
Nd Zr Si
2 2 4
Cartesian
0.000 0.567 0.000
1.917 7.190 2.782
0.000 4.379 1.445
1.917 3.378 4.228
0.000 1.822 2.848
0.000 5.358 4.143
1.917 2.399 1.361
1.917 5.936 0.065
```